This entry pairs a crystal structure of NiRhPb4 with its calculated X-ray powder pattern. Radiation: CuKα. Structure: DFT lattice parameters and positions (PBE).

Main lines, by intensity (2θ = 15–90°):
d/Å  two_theta  I (rel.)
2.636  34.01  100.0
2.524  35.57  70.5
5.047  17.57  46.9
1.682  54.54  35.1
1.545  59.85  34.8
1.318  71.60  29.1
1.138  85.27  23.1
2.186  41.31  22.2
2.006  45.21  13.9
1.333  70.66  12.3

Structure:
Lattice parameters (Å, degrees): 6.182 6.182 6.182 60.00 60.00 60.00
Element x y z (fractional)
Ni  0.000  0.000  0.000
Rh  0.250  0.250  0.250
Pb  0.126  0.625  0.625
Pb  0.625  0.126  0.625
Pb  0.625  0.625  0.126
Pb  0.625  0.625  0.625

This entry pairs a crystal structure of CdP2Pd7Pb2 with its calculated X-ray powder pattern. Radiation: CuKα. Structure: DFT lattice parameters and positions (PBE).

Main lines, by intensity (2θ = 15–90°):
d/Å  two_theta  I (rel.)
2.509  35.78  100.0
2.277  39.57  98.6
3.014  29.64  93.0
2.239  40.29  82.8
2.210  40.84  75.3
2.803  31.93  47.1
2.186  41.30  40.2
2.566  34.97  37.6
3.389  26.30  34.8
1.930  47.08  33.9

Structure:
Lattice parameters (Å, degrees): 4.565 4.565 11.503 102.37 102.37 78.80
Element x y z (fractional)
Cd  0.000  0.000  0.000
P  0.403  0.403  0.783
P  0.597  0.597  0.217
Pd  0.075  0.573  0.162
Pd  0.139  0.139  0.611
Pd  0.427  0.925  0.838
Pd  0.500  0.500  0.000
Pd  0.573  0.075  0.162
Pd  0.861  0.861  0.389
Pd  0.925  0.427  0.838
Pb  0.266  0.266  0.391
Pb  0.734  0.734  0.609